For SrNd2Se4, a PBE-relaxed structure gives the computed powder X-ray diffraction pattern in this record (Cu Kα).
Kinematic intensities with the Lorentz-polarization factor, no thermal factor.

Peak list (12 most intense, 2θ = 10–90°, in order of rising 2θ)
Position (°2θ), I (rel.), hkl
24.0, 20.1, 1 1 2
31.2, 100.0, 3 1 0
37.1, 66.7, 3 2 1
44.7, 21.5, 4 0 2
47.0, 15.1, 3 2 3
49.2, 11.6, 2 2 4
51.4, 18.6, 3 1 4
63.2, 29.5, 1 1 6
65.0, 10.0, 6 0 2
66.8, 13.7, 5 1 4
72.1, 5.9, 4 4 4
77.3, 19.3, 2 1 7

Structure:
abc: 9.073 9.073 9.067
angles: 90.00 90.00 90.00
Space group I-42d (No. 122)
Symmetry-distinct sites (fractional):
Sr 0.000 0.000 0.000 [4 per cell]
Nd 0.126 0.750 0.625 [8 per cell]
Se 0.076 0.673 0.942 [16 per cell]